Diffraction record for TbSm2DyEr2. The PXRD pattern is simulated, not measured: it uses a structure optimized by DFT (GGA-PBE) and Cu Kα X-rays.
Peak positions follow from Bragg's law for the DFT cell and can differ from measured ones.

Main lines, low angle first (15 to 90 degrees two-theta):
Position (°2θ), d [Å], Rel. int.
29.11, 3.068, 100
29.96, 2.983, 77
30.39, 2.942, 86
31.42, 2.847, 41
33.02, 2.713, 37
33.99, 2.638, 66
36.02, 2.493, 42
41.31, 2.186, 67

Structural model:
Lattice parameters (Å, degrees): 6.531 17.895 3.382 90.00 90.00 90.00
Space group Pnnm (No. 58)
Unique sites:
Tb 0.000 0.000 0.000 (multiplicity 2)
Sm 0.226 0.186 0.000 (multiplicity 4)
Dy 0.000 0.500 0.000 (multiplicity 2)
Er 0.224 0.354 0.500 (multiplicity 4)


Diffraction record for Pr5Nd2Y12. The PXRD pattern is simulated, not measured: it uses a structure optimized by DFT (GGA-PBE) and Cu Kα X-rays.
Peak positions follow from Bragg's law for the DFT cell and can differ from measured ones.

Main lines, low angle first (15 to 90 degrees two-theta):
Position (°2θ), d [Å], Rel. int.
29.01, 3.078, 58
30.57, 2.925, 100
30.86, 2.898, 82
31.94, 2.802, 87
32.65, 2.743, 44
32.92, 2.721, 49
33.30, 2.690, 43
35.19, 2.550, 42

Structural model:
Lattice parameters (Å, degrees): 12.388 7.223 15.175 90.00 107.28 90.00
Space group C2/m (No. 12)
Unique sites:
Pr 0.000 0.000 0.000 (multiplicity 2)
Pr 0.096 0.500 0.095 (multiplicity 4)
Pr 0.249 0.500 0.500 (multiplicity 4)
Nd 0.000 0.250 0.500 (multiplicity 4)
Y 0.090 0.245 0.287 (multiplicity 8)
Y 0.151 0.500 0.692 (multiplicity 4)
Y 0.156 0.000 0.697 (multiplicity 4)
Y 0.171 0.261 0.891 (multiplicity 8)


Diffraction record for La4AsSe2N2. The PXRD pattern is simulated, not measured: it uses a structure optimized by DFT (GGA-PBE) and Cu Kα X-rays.
Peak positions follow from Bragg's law for the DFT cell and can differ from measured ones.

Main lines, low angle first (15 to 90 degrees two-theta):
Position (°2θ), d [Å], Rel. int.
26.98, 3.305, 35
27.63, 3.228, 42
28.03, 3.183, 41
31.38, 2.850, 61
32.58, 2.749, 100
35.20, 2.550, 80
43.73, 2.070, 31
54.83, 1.674, 41

Structural model:
Lattice parameters (Å, degrees): 16.203 4.140 7.458 90.00 112.81 90.00
Space group C2/m (No. 12)
Unique sites:
La 0.039 0.000 0.254 (multiplicity 4)
La 0.218 0.500 0.671 (multiplicity 4)
As 0.000 0.500 0.500 (multiplicity 2)
Se 0.124 0.500 0.023 (multiplicity 4)
N 0.177 0.000 0.482 (multiplicity 4)


What is the formula in the second record? Pr5Nd2Y12


Which formula does entry 2 have? Pr5Nd2Y12


What is the formula in the first record? TbSm2DyEr2